For CsNbFeTePd, a GGA-PBE-relaxed structure gives the calculated PXRD pattern in this record (Cu Kα).

Peak list (6 most intense, 10° ≤ 2θ ≤ 80°, low angle first)
Position (°2θ)	d [Å]	intensity	h k l
10.3	8.609	52	0 0 1
26.5	3.362	56	1 0 1
32.1	2.785	100	0 1 2
40.0	2.256	49	1 0 3
42.9	2.109	69	1 1 0
54.6	1.681	22	2 0 2

Structure:
a b c (Å): 4.2173 4.2173 8.6088
angles (deg): 90.00 90.00 120.00
Space group P3m1 (No. 156)
One atom of each set of equivalent atoms:
Cs (0.0000, 0.0000, 0.0000) [1 per cell]
Nb (0.3333, 0.6667, 0.5538) [1 per cell]
Fe (0.0000, 0.0000, 0.5230) [1 per cell]
Te (0.6667, 0.3333, 0.3511) [1 per cell]
Pd (0.6667, 0.3333, 0.7024) [1 per cell]